The following is a calculated X-ray diffraction stick pattern of Li4MnCo2O7. It was derived from a DFT-relaxed cell (GGA+U, the Materials Project), using a wavelength of 1.5418 Å.

Principal peaks in the range 2θ from 10° to 90°, most intense first:
2θ (°)  d [Å]  Rel. int.
18.37  4.831  100
41.91  2.156  33
43.85  2.065  28
44.80  2.023  26
34.84  2.575  17
36.18  2.483  14
36.72  2.448  11
65.02  1.434  9

Structural model:
```
28
Lattice="2.9819 0.0000 0.0000 1.1501 7.7106 0.0000 1.4009 1.7781 10.9663" Properties=species:S:1:pos:R:3 pbc="T T T"
Li 0.0000 0.0000 0.0000
Li 1.3332 2.8655 7.1322
Li 2.6027 6.7788 10.2451
Li 1.3742 1.0247 2.3411
Li 2.7222 4.8174 5.5074
Li 4.0265 8.6529 8.7788
Li 2.8626 2.9118 0.7726
Li 4.1396 6.7679 3.9976
Mn 2.6480 5.8936 1.5889
Mn 4.1456 5.7351 7.9119
Co 1.2603 3.9114 3.2009
Co 2.5704 7.7178 6.3155
Co 2.8040 3.7131 9.5266
Co 2.8699 1.9473 4.7300
O 1.4565 2.4755 9.0938
O 1.3516 3.3333 5.0195
O 1.1633 4.5600 1.3745
O 2.4778 7.2004 8.1960
O 2.5655 8.2398 4.4301
O 1.3852 1.6069 0.2816
O 2.8327 4.3007 7.6500
O 2.5912 5.2600 3.4863
O 4.0691 8.0547 10.7645
O 2.8827 1.4061 6.5844
O 2.9533 2.5033 2.8436
O 4.1121 5.1734 9.7663
O 4.0974 6.2926 6.0288
O 4.1352 7.1089 1.9732
```



The following is a calculated X-ray diffraction stick pattern of Li4MnCo2O7. It was derived from a DFT-relaxed cell (GGA+U, the Materials Project), using a wavelength of 1.5418 Å.

Principal peaks in the range 2θ from 10° to 90°, most intense first:
2θ (°)  d [Å]  Rel. int.
18.31  4.845  100
41.39  2.182  34
43.51  2.080  29
45.03  2.013  25
34.45  2.603  19
35.84  2.505  13
36.86  2.438  11
61.43  1.509  9

Structural model:
```
28
Lattice="3.0219 0.0000 0.0000 1.4795 6.2426 0.0000 0.8522 1.4682 13.5588" Properties=species:S:1:pos:R:3 pbc="T T T"
Li 0.0000 0.0000 0.0000
Li 1.1643 3.8432 6.7591
Li 1.2961 3.1127 3.8780
Li 2.6307 6.1538 7.6915
Li 2.4596 3.0265 11.6056
Li 2.8991 4.6479 1.9478
Li 2.7241 1.5256 5.8274
Li 4.0572 4.5420 9.6612
Mn 2.4849 6.9551 10.6059
Mn 3.8835 5.3577 12.5943
Co 1.4433 2.2929 0.9928
Co 2.7592 5.3589 4.9240
Co 2.6164 2.3365 8.5927
Co 2.8779 0.7196 2.9351
O 1.4176 5.1364 3.4443
O 1.3569 4.1729 0.4735
O 1.2203 1.9255 7.3677
O 2.5500 5.0787 11.1488
O 1.3315 0.9704 4.3333
O 1.4239 0.4436 1.4960
O 2.5855 4.0446 8.2900
O 3.8271 7.2389 12.0589
O 2.7613 3.6453 5.2301
O 4.1303 6.7075 9.1887
O 2.9286 2.5826 2.3967
O 3.8475 3.4933 13.1197
O 4.1400 5.7605 6.1537
O 3.9619 2.5555 10.0898
```



The following is a calculated X-ray diffraction stick pattern of Li7Mn4CoO12. It was derived from a DFT-relaxed cell (GGA+U, the Materials Project), using a wavelength of 1.5418 Å.

Principal peaks in the range 2θ from 10° to 90°, most intense first:
2θ (°)  d [Å]  Rel. int.
18.34  4.838  100
43.80  2.067  54
42.67  2.119  29
35.39  2.536  14
35.95  2.498  13
36.11  2.488  12
57.77  1.596  9
63.53  1.465  8

Structural model:
```
48
Lattice="5.1054 0.0000 0.0000 -0.0800 5.8868 0.0000 -0.2099 -2.6288 14.4611" Properties=species:S:1:pos:R:3 pbc="T T T"
Li 0.0000 0.0000 0.0000
Li -0.0400 2.9434 0.0000
Li -0.0782 0.1111 7.2147
Li 0.7819 -1.3002 9.5736
Li 0.7541 1.6634 9.6219
Li 1.4168 0.3305 12.1823
Li 1.4209 3.2148 12.1481
Li 2.4719 4.4255 0.0032
Li 2.3436 -1.1674 14.4579
Li 3.3945 0.0433 2.3130
Li 3.3987 2.9275 2.2788
Li 4.0613 1.5946 4.8392
Li 4.0335 4.5582 4.8875
Li 4.8936 3.1469 7.2464
Mn 0.6963 4.4418 2.3154
Mn 0.7612 1.4855 2.3098
Mn 1.5887 0.0900 4.8049
Mn 1.5654 3.0353 4.8168
Mn 3.2501 0.2227 9.6443
Mn 3.2267 3.1680 9.6562
Mn 4.0542 1.7725 12.1513
Mn 4.1191 -1.1838 12.1457
Co 2.4477 -1.3144 7.2305
Co 2.4077 1.6290 7.2305
O 0.0861 0.0238 3.4903
O 0.0569 2.9606 3.4852
O 0.4707 1.7700 13.1622
O 0.5311 -1.1667 13.1327
O 0.6590 4.6687 5.9339
O 0.7613 1.5404 5.8242
O 1.5821 0.0115 1.3220
O 1.5677 2.9807 1.3596
O 1.6860 0.1858 8.5040
O 1.6928 3.1075 8.5444
O 2.2419 4.5175 3.7041
O 2.3337 1.4000 3.5833
O 2.4818 1.8580 10.8778
O 2.5736 -1.2594 10.7570
O 3.1226 0.1505 5.9167
O 3.1294 3.0722 5.9571
O 3.2478 0.2773 13.1015
O 3.2333 3.2466 13.1391
O 4.0541 1.7176 8.6369
O 4.1564 -1.4106 8.5272
O 4.2844 4.4247 1.3284
O 4.3447 1.4881 1.2989
O 4.7585 0.2974 10.9759
O 4.7294 3.2342 10.9708
```



The following is a calculated X-ray diffraction stick pattern of Li7Mn2Co3O12. It was derived from a DFT-relaxed cell (GGA+U, the Materials Project), using a wavelength of 1.5418 Å.

Principal peaks in the range 2θ from 10° to 90°, most intense first:
2θ (°)  d [Å]  Rel. int.
18.32  4.842  100
43.73  2.070  57
43.46  2.082  28
36.17  2.483  26
63.04  1.475  23
35.89  2.502  15
63.63  1.462  15
57.55  1.602  10

Structural model:
```
24
Lattice="5.1239 0.0000 0.0000 1.6447 5.5704 0.0000 1.6549 1.0171 7.5045" Properties=species:S:1:pos:R:3 pbc="T T T"
Li 0.0000 0.0000 0.0000
Li 0.8667 1.2758 2.6545
Li 1.7181 4.0578 2.6147
Li 5.0547 4.5633 6.3337
Li 6.7554 2.5861 5.1232
Li 7.5722 3.8517 7.4703
Li 7.5893 5.2959 5.1463
Mn 4.2278 4.8192 1.3091
Mn 3.4204 2.0477 1.3116
Co 5.0105 6.0861 3.9634
Co 4.2590 3.3471 3.9207
Co 4.2480 1.8194 6.2933
O 3.3822 3.4637 5.6914
O 2.5873 0.8027 5.6182
O 3.4593 5.0543 3.1009
O 1.8537 0.9831 0.7758
O 2.6845 3.7655 0.7967
O 2.7059 2.2908 3.1181
O 4.1157 0.3219 1.9406
O 6.6513 5.6833 7.0669
O 4.9635 3.0978 1.8677
O 5.8248 2.7853 7.0842
O 5.8318 4.2965 4.3446
O 5.0522 1.5366 4.4828
```



The following is a calculated X-ray diffraction stick pattern of Li7Mn2Co3O12. It was derived from a DFT-relaxed cell (GGA+U, the Materials Project), using a wavelength of 1.5418 Å.

Principal peaks in the range 2θ from 10° to 90°, most intense first:
2θ (°)  d [Å]  Rel. int.
18.39  4.825  100
44.24  2.047  53
42.21  2.141  28
36.39  2.469  25
62.71  1.481  14
62.89  1.478  14
35.05  2.560  13
15.59  5.683  10

Structural model:
```
24
Lattice="5.8280 0.0000 0.0000 0.0000 2.8771 0.0000 -2.8694 0.0000 12.8458" Properties=species:S:1:pos:R:3 pbc="T T T"
Li 0.0000 0.0000 0.0000
Li -1.3681 1.4386 6.4653
Li -1.4306 1.4386 10.5898
Li 0.0376 0.0000 8.3339
Li 1.4853 1.4386 6.4828
Li 2.9858 0.0000 4.5660
Li 4.3988 1.4386 2.2525
Mn 0.0103 0.0000 4.4139
Mn 2.9439 0.0000 0.0819
Co 1.4310 1.4386 2.2206
Co 1.5236 1.4386 10.6650
Co 2.9957 0.0000 8.3335
O -1.5144 1.4386 8.6200
O 0.0831 0.0000 2.2926
O 0.0622 0.0000 6.2342
O 1.6132 1.4386 0.0217
O 1.3719 1.4386 4.2896
O 0.1981 0.0000 10.9328
O 2.8613 0.0000 2.0096
O 1.5947 1.4386 8.6318
O 4.2407 1.4386 0.1212
O 2.9632 0.0000 6.5498
O 2.7855 0.0000 10.7773
O 4.5413 1.4386 4.3059
```



The following is a calculated X-ray diffraction stick pattern of Li4MnCo2O7. It was derived from a DFT-relaxed cell (GGA+U, the Materials Project), using a wavelength of 1.5418 Å.

Principal peaks in the range 2θ from 10° to 90°, most intense first:
2θ (°)  d [Å]  Rel. int.
18.50  4.796  100
44.75  2.025  52
42.08  2.147  32
36.81  2.441  23
34.94  2.568  17
63.06  1.474  16
63.15  1.472  15
58.92  1.568  9

Structural model:
```
28
Lattice="2.5913 -9.9226 0.0000 2.5913 9.9226 0.0000 -1.9438 0.0000 4.7956" Properties=species:S:1:pos:R:3 pbc="T T T"
Li 0.0000 0.0000 0.0000
Li 1.6194 8.5330 2.3978
Li 1.6194 5.6643 2.3978
Li 1.6194 2.8310 2.3978
Li 1.6194 0.0000 2.3978
Li 1.6194 -2.8310 2.3978
Li 1.6194 -5.6643 2.3978
Li 1.6194 -8.5330 2.3978
Mn 2.5913 1.4334 0.0000
Mn 2.5913 -1.4334 0.0000
Co 2.5913 7.0852 0.0000
Co 2.5913 4.2579 0.0000
Co 2.5913 -4.2579 0.0000
Co 2.5913 -7.0852 0.0000
O 0.7351 4.2624 1.0773
O -0.0805 2.8396 3.6794
O 0.9139 1.5009 1.0193
O -0.0318 0.0000 3.6666
O 0.9139 -1.5009 1.0193
O -0.0805 -2.8396 3.6794
O 0.7351 -4.2624 1.0773
O 2.5038 4.2624 3.7183
O 3.3194 2.8396 1.1161
O 2.3250 1.5009 3.7763
O 3.2707 0.0000 1.1290
O 2.3250 -1.5009 3.7763
O 3.3194 -2.8396 1.1161
O 2.5038 -4.2624 3.7183
```



The following is a calculated X-ray diffraction stick pattern of Li7Mn2Co3O12. It was derived from a DFT-relaxed cell (GGA+U, the Materials Project), using a wavelength of 1.5418 Å.

Principal peaks in the range 2θ from 10° to 90°, most intense first:
2θ (°)  d [Å]  Rel. int.
17.89  4.957  100
43.99  2.059  55
41.11  2.196  35
36.46  2.465  23
34.34  2.612  19
61.42  1.510  17
62.12  1.494  17
46.86  1.939  10

Structural model:
```
24
Lattice="2.6339 -1.4267 0.0000 2.6339 1.4267 0.0000 -1.3720 0.0000 29.7443" Properties=species:S:1:pos:R:3 pbc="T T T"
Li 0.0000 0.0000 0.0000
Li -0.3339 0.0000 7.4046
Li -0.6513 0.0000 14.7855
Li 0.6035 0.0000 24.8676
Li 1.3581 0.0000 9.8759
Li 3.2257 0.0000 4.9421
Li 2.6046 0.0000 19.8136
Mn -1.0257 0.0000 22.3214
Mn 0.9748 0.0000 17.3247
Co 1.6445 0.0000 2.4186
Co 2.2493 0.0000 27.2799
Co 2.9671 0.0000 12.3954
O -0.1146 0.0000 3.4898
O -1.0980 0.0000 26.1767
O 0.3457 0.0000 28.3330
O 1.4855 0.0000 6.1207
O 1.1537 0.0000 13.5538
O 0.9239 0.0000 21.1722
O 2.3005 0.0000 23.4744
O 3.4433 0.0000 1.2638
O 3.1112 0.0000 8.6950
O 2.9000 0.0000 16.2078
O 4.2987 0.0000 18.4843
O 4.7176 0.0000 11.3264
```



The following is a calculated X-ray diffraction stick pattern of Li7Mn4CoO12. It was derived from a DFT-relaxed cell (GGA+U, the Materials Project), using a wavelength of 1.5418 Å.

Principal peaks in the range 2θ from 10° to 90°, most intense first:
2θ (°)  d [Å]  Rel. int.
18.39  4.825  100
42.29  2.137  32
43.97  2.059  28
44.49  2.037  27
35.04  2.561  14
36.68  2.450  12
36.15  2.485  12
62.36  1.489  8

Structural model:
```
24
Lattice="5.8437 0.0000 0.0000 2.8907 5.1772 0.0000 1.3799 2.2719 7.1123" Properties=species:S:1:pos:R:3 pbc="T T T"
Li 0.0000 0.0000 0.0000
Li 1.4454 2.5886 0.0000
Li 2.8261 3.2105 4.7931
Li 2.9246 1.6629 2.2831
Li 2.9218 0.0000 0.0000
Li 7.1897 5.7862 4.8292
Li 7.2882 4.2386 2.3193
Mn 4.3023 5.8134 4.7923
Mn 4.3167 4.2160 2.3244
Mn 5.7976 3.2331 4.7879
Mn 5.8120 1.6357 2.3200
Co 4.3672 2.5886 0.0000
O 3.0020 4.9537 3.5483
O 1.4122 0.6984 1.3676
O 3.0330 3.3950 1.1957
O 5.6575 6.4590 5.9428
O 4.4344 3.9729 5.9656
O 5.6766 4.8793 3.6265
O 4.4378 2.5699 3.4858
O 5.6799 3.4763 1.1467
O 4.4568 0.9901 1.1695
O 7.0813 4.0541 5.9166
O 8.7022 6.7507 5.7447
O 7.1123 2.4954 3.5641
```